(1)
Structure and simulated X-ray diffraction stick pattern of Cs2PbBr2Cl2 (a structure optimized by DFT (GGA-PBE); Cu Kα (weighted mean of Kα1 and Kα2)).
Intensities are scaled so that the largest is 100.

Structure:
Cell lengths 5.7137, 5.7137, 18.3772 Å; angles 90.00, 90.00, 90.00 degrees
Element x y z (fractional)
Cs1 0.0000 0.0000 0.1380
Cs2 0.0000 0.0000 0.8620
Cs3 0.5000 0.5000 0.3620
Cs4 0.5000 0.5000 0.6380
Pb1 0.0000 0.0000 0.5000
Pb2 0.5000 0.5000 0.0000
Br1 0.0000 0.0000 0.3349
Br2 0.0000 0.0000 0.6651
Br3 0.5000 0.5000 0.1651
Br4 0.5000 0.5000 0.8349
Cl1 0.0000 0.5000 0.0000
Cl2 0.0000 0.5000 0.5000
Cl3 0.5000 0.0000 0.0000
Cl4 0.5000 0.0000 0.5000

Principal peaks in the range 2θ from 15° to 90°, low angle first:
| two_theta | intensity |
| --- | --- |
| 21.26 | 47 |
| 22.00 | 100 |
| 28.88 | 47 |
| 29.16 | 26 |
| 31.31 | 67 |
| 36.82 | 31 |
| 43.12 | 32 |
| 43.31 | 34 |
| 44.87 | 24 |
| 50.51 | 22 |



(2)
Structure and simulated X-ray diffraction stick pattern of Cs2PbBrCl3 (a structure optimized by DFT (GGA-PBE); Cu Kα (weighted mean of Kα1 and Kα2)).
Intensities are scaled so that the largest is 100.

Structure:
Cell lengths 5.7295, 5.9604, 17.5706 Å; angles 90.00, 90.00, 90.00 degrees
Element x y z (fractional)
Cs1 0.0000 0.0000 0.1431
Cs2 0.0000 0.0000 0.8569
Cs3 0.5000 0.5000 0.3569
Cs4 0.5000 0.5000 0.6431
Pb1 0.0000 0.0000 0.5000
Pb2 0.5000 0.5000 0.0000
Br1 0.0000 0.5000 0.5000
Br2 0.5000 0.0000 0.0000
Cl1 0.0000 0.0000 0.3359
Cl2 0.0000 0.0000 0.6641
Cl3 0.0000 0.5000 0.0000
Cl4 0.5000 0.0000 0.5000
Cl5 0.5000 0.5000 0.1641
Cl6 0.5000 0.5000 0.8359

Principal peaks in the range 2θ from 15° to 90°, low angle first:
| two_theta | intensity |
| --- | --- |
| 21.27 | 58 |
| 21.51 | 100 |
| 21.70 | 92 |
| 29.83 | 29 |
| 29.98 | 54 |
| 30.53 | 38 |
| 31.22 | 49 |
| 37.32 | 48 |
| 43.84 | 37 |
| 54.36 | 28 |



(3)
Structure and simulated X-ray diffraction stick pattern of Cs2PmBr3Cl3 (a structure optimized by DFT (GGA-PBE); Cu Kα (weighted mean of Kα1 and Kα2)).
Intensities are scaled so that the largest is 100.

Structure:
Cell lengths 9.0090, 9.0090, 4.4290 Å; angles 90.00, 90.00, 120.00 degrees
Element x y z (fractional)
Cs1 0.3333 0.6667 0.0000
Cs2 0.6667 0.3333 0.0000
Pm1 0.0000 0.0000 0.5000
Br1 0.0000 0.3406 0.5000
Br2 0.3406 0.0000 0.5000
Br3 0.6594 0.6594 0.5000
Cl1 0.0000 0.7848 0.0000
Cl2 0.2152 0.2152 0.0000
Cl3 0.7848 0.0000 0.0000

Principal peaks in the range 2θ from 15° to 90°, low angle first:
| two_theta | intensity |
| --- | --- |
| 19.71 | 93 |
| 23.09 | 63 |
| 28.26 | 100 |
| 30.54 | 68 |
| 34.49 | 100 |
| 36.61 | 90 |
| 40.75 | 29 |
| 46.72 | 27 |
| 54.42 | 53 |
| 58.04 | 26 |



(4)
Structure and simulated X-ray diffraction stick pattern of Cs2PtBr6Cl (a structure optimized by DFT (GGA-PBE); Cu Kα (weighted mean of Kα1 and Kα2)).
Intensities are scaled so that the largest is 100.

Structure:
Cell lengths 8.0361, 8.0361, 8.0361 Å; angles 122.79, 122.79, 85.24 degrees
Element x y z (fractional)
Cs1 0.2500 0.7500 0.5000
Cs2 0.7500 0.2500 0.5000
Pt1 0.0000 0.0000 0.0000
Br1 0.2112 0.2112 0.0000
Br2 0.2335 0.2335 0.4671
Br3 0.2335 0.7665 0.0000
Br4 0.7665 0.2335 0.0000
Br5 0.7665 0.7665 0.5329
Br6 0.7888 0.7888 0.0000
Cl1 0.5000 0.5000 0.0000

Principal peaks in the range 2θ from 15° to 90°, low angle first:
| two_theta | intensity |
| --- | --- |
| 22.20 | 69 |
| 23.12 | 29 |
| 27.66 | 85 |
| 30.23 | 56 |
| 32.92 | 100 |
| 40.07 | 27 |
| 45.29 | 69 |
| 47.25 | 35 |
| 55.63 | 21 |
| 57.12 | 33 |



(5)
Structure and simulated X-ray diffraction stick pattern of Cs3Pu2Br3Cl4 (a structure optimized by DFT (GGA-PBE); Cu Kα (weighted mean of Kα1 and Kα2)).
Intensities are scaled so that the largest is 100.

Structure:
Cell lengths 15.1609, 15.1609, 15.1609 Å; angles 158.76, 157.60, 31.07 degrees
Element x y z (fractional)
Cs1 0.0000 0.0000 0.0000
Cs2 0.1837 0.1837 0.0000
Cs3 0.8163 0.8163 0.0000
Pu1 0.3967 0.3967 0.0000
Pu2 0.6033 0.6033 0.0000
Br1 0.0964 0.5964 0.5000
Br2 0.5000 0.5000 0.0000
Br3 0.9036 0.4036 0.5000
Cl1 0.3014 0.3014 0.0000
Cl2 0.3985 0.8985 0.5000
Cl3 0.6015 0.1015 0.5000
Cl4 0.6986 0.6986 0.0000

Principal peaks in the range 2θ from 15° to 90°, low angle first:
| two_theta | intensity |
| --- | --- |
| 21.42 | 30 |
| 21.96 | 100 |
| 30.35 | 30 |
| 30.60 | 23 |
| 32.03 | 26 |
| 37.81 | 25 |
| 37.96 | 18 |
| 43.64 | 17 |
| 44.70 | 21 |
| 55.15 | 20 |



(6)
Structure and simulated X-ray diffraction stick pattern of CsReBrCl3 (a structure optimized by DFT (GGA-PBE); Cu Kα (weighted mean of Kα1 and Kα2)).
Intensities are scaled so that the largest is 100.

Structure:
Cell lengths 11.1884, 10.2656, 10.2656 Å; angles 90.68, 90.00, 90.00 degrees
Element x y z (fractional)
Cs1 0.0000 0.0000 0.0000
Cs2 0.2500 0.2070 0.5737
Cs3 0.2500 0.7160 0.5160
Cs4 0.5000 0.0000 0.0000
Cs5 0.7500 0.5160 0.7160
Cs6 0.7500 0.5737 0.2070
Re1 0.1392 0.5545 0.9963
Re2 0.2500 0.3699 0.0919
Re3 0.3608 0.5545 0.9963
Re4 0.6392 0.9963 0.5545
Re5 0.7500 0.0919 0.3699
Re6 0.8608 0.9963 0.5545
Br1 0.0199 0.3648 0.0939
Br2 0.2500 0.7486 0.8938
Br3 0.4801 0.3648 0.0939
Br4 0.5199 0.0939 0.3648
Br5 0.7500 0.8938 0.7486
Br6 0.9801 0.0939 0.3648
Cl1 0.0677 0.9438 0.6640
Cl2 0.1039 0.4725 0.7861
Cl3 0.1055 0.6783 0.1842
Cl4 0.2500 0.1423 0.2037
Cl5 0.2500 0.2281 0.9117
Cl6 0.2500 0.4353 0.3107
Cl7 0.3945 0.6783 0.1842
Cl8 0.3961 0.4725 0.7861
Cl9 0.4323 0.9438 0.6640
Cl10 0.5677 0.6640 0.9438
Cl11 0.6039 0.7861 0.4725
Cl12 0.6055 0.1842 0.6783
Cl13 0.7500 0.2037 0.1423
Cl14 0.7500 0.3107 0.4353
Cl15 0.7500 0.9117 0.2281
Cl16 0.8945 0.1842 0.6783
Cl17 0.8961 0.7861 0.4725
Cl18 0.9323 0.6640 0.9438

Principal peaks in the range 2θ from 15° to 90°, low angle first:
| two_theta | intensity |
| --- | --- |
| 17.28 | 79 |
| 18.06 | 31 |
| 19.02 | 50 |
| 21.00 | 100 |
| 29.61 | 31 |
| 30.83 | 32 |
| 31.60 | 39 |
| 32.62 | 32 |
| 37.62 | 45 |
| 42.60 | 29 |